Theoretical powder diffractogram of Pr10C4Br15 for Cu Kα, from a structure optimized by DFT (PBE).
Kinematic intensities with the Lorentz-polarization factor, no thermal factor.

Principal peaks in the range 2θ = 10–80°, most intense first:
(hkl), two_theta, intensity
0 2 3, 28.9, 100.0
1 -2 2, 30.4, 79.5
3 2 1, 30.7, 72.5
1 0 5, 43.1, 56.3
-1 4 1, 41.9, 29.6
3 0 -2, 42.3, 28.8

Structure:
a b c (Å): 9.279 10.285 11.219
angles (deg): 70.13 66.25 70.74
Space group P-1 (No. 2)
Inequivalent atoms, fractional coordinates:
Pr1 0.028 0.105 0.266
Pr2 0.079 0.181 0.888
Pr3 0.170 0.430 0.046
Pr4 0.247 0.540 0.645
Pr5 0.333 0.751 0.831
C1 0.044 0.704 0.938
C2 0.120 0.640 0.829
Br1 0.053 0.555 0.297
Br2 0.135 0.814 0.467
Br3 0.231 0.909 0.061
Br4 0.254 0.028 0.646
Br5 0.336 0.168 0.222
Br6 0.387 0.271 0.818
Br7 0.453 0.367 0.414
Br8 0.500 0.500 0.000